No. 1
Calculated XRD peak list of Sr5HgPt2 for CuKα, from a DFT-relaxed cell (GGA-PBE, Alexandria).

Main lines, sorted by position (2θ from 10° to 80°):
Position (°2θ)  intensity  hkl
11.46  27.8  0 0 2
19.02  51.5  1 1 2
29.71  100.0  2 1 3
31.68  37.8  2 0 4
34.23  63.6  3 1 0
37.93  37.3  2 1 5
41.66  16.9  3 1 4
59.48  25.1  3 1 8

Atomic structure:
```
data_Sr5HgPt2
_space_group_name_H-M_alt 'I 4/m c m'
_space_group_IT_number 140
_space_group_name_Hall '-I 4 2c'
_cell_length_a 8.283
_cell_length_b 8.283
_cell_length_c 15.445
_cell_angle_alpha 90.00
_cell_angle_beta 90.00
_cell_angle_gamma 90.00
loop_
_atom_site_label
_atom_site_type_symbol
_atom_site_fract_x
_atom_site_fract_y
_atom_site_fract_z
_atom_site_occupancy
Sr1 Sr 0.000 0.000 0.000 1
Sr2 Sr 0.168 0.332 0.133 1
Hg1 Hg 0.000 0.000 0.250 1
Pt1 Pt 0.127 0.373 0.500 1
```

---

No. 2
Calculated XRD peak list of IrSe for CuKα, from a DFT-relaxed cell (GGA-PBE, Alexandria).

Main lines, sorted by position (2θ from 10° to 80°):
Position (°2θ)  intensity  hkl
27.04  100.0  1 0 1
28.48  44.7  1 1 1
31.59  96.2  0 3 1
42.82  62.5  2 0 0
44.29  78.2  1 2 2
45.32  76.9  1 4 1
48.91  36.5  1 3 2
54.17  42.3  2 3 1

Atomic structure:
```
data_IrSe
_space_group_name_H-M_alt 'P m m n'
_space_group_IT_number 59
_cell_length_a 4.224
_cell_length_b 10.068
_cell_length_c 5.279
_cell_angle_alpha 90.00
_cell_angle_beta 90.00
_cell_angle_gamma 90.00
loop_
_space_group_symop_operation_xyz
'x,y,z'
'-x,-y,-z'
'-x+1/2,-y+1/2,z'
'x+1/2,y+1/2,-z'
'x+1/2,-y,-z'
'-x+1/2,y,z'
'-x,y+1/2,-z'
'x,-y+1/2,z'
loop_
_atom_site_label
_atom_site_type_symbol
_atom_site_fract_x
_atom_site_fract_y
_atom_site_fract_z
_atom_site_occupancy
Ir1 Ir 0.250 0.026 0.169 1
Ir2 Ir 0.250 0.750 0.272 1
Se1 Se 0.250 0.250 0.952 1
Se2 Se 0.250 0.587 0.609 1
```

---

No. 3
Calculated XRD peak list of Ca3Ho5S8 for CuKα, from a DFT-relaxed cell (GGA-PBE, Alexandria).

Main lines, sorted by position (2θ from 10° to 80°):
Position (°2θ)  intensity  hkl
13.76  29.7  0 0 3
27.86  44.4  2 0 2
32.23  100.0  0 2 4
46.10  35.7  2 0 8
46.35  35.2  2 2 0
57.57  18.2  4 0 4
76.55  15.6  2 2 12
76.91  15.4  2 4 4

Atomic structure:
```
data_Ca3Ho5S8
_space_group_name_H-M_alt 'R -3 m'
_space_group_IT_number 166
_space_group_name_Hall '-R 3 2"'
_cell_length_a 7.8364
_cell_length_b 7.8364
_cell_length_c 19.3391
_cell_angle_alpha 90.00
_cell_angle_beta 90.00
_cell_angle_gamma 120.00
loop_
_atom_site_label
_atom_site_type_symbol
_atom_site_fract_x
_atom_site_fract_y
_atom_site_fract_z
_atom_site_occupancy
Ca1 Ca 0.0000 0.5000 0.0000 1
Ho1 Ho 0.0000 0.0000 0.0000 1
Ho2 Ho 0.0000 0.0000 0.5000 1
Ho3 Ho 0.0000 0.5000 0.5000 1
S1 S 0.0000 0.0000 0.2477 1
S2 S 0.0022 0.5011 0.7511 1
```

---

No. 4
Calculated XRD peak list of ZnH2 for CuKα, from a DFT-relaxed cell (GGA-PBE, Alexandria).

Main lines, sorted by position (2θ from 10° to 80°):
Position (°2θ)  intensity  hkl
23.33  89.8  1 1 0
23.80  100.0  0 1 1
38.51  27.9  0 0 2
39.48  83.5  1 2 1
42.18  20.6  2 0 1
44.73  17.2  2 1 1
45.51  28.4  1 1 2
62.93  20.7  3 1 1

Atomic structure:
```
data_ZnH2
_space_group_name_H-M_alt 'P n a 21'
_space_group_IT_number 33
_space_group_name_Hall 'P 2c -2n'
_cell_length_a 4.821
_cell_length_b 6.228
_cell_length_c 4.676
_cell_angle_alpha 90.00
_cell_angle_beta 90.00
_cell_angle_gamma 90.00
loop_
_atom_site_label
_atom_site_type_symbol
_atom_site_fract_x
_atom_site_fract_y
_atom_site_fract_z
_atom_site_occupancy
Zn1 Zn 0.064 0.125 0.000 1
H1 H 0.051 0.104 0.642 1
H2 H 0.103 0.650 0.594 1
```

---

No. 5
Calculated XRD peak list of DyYCu for CuKα, from a DFT-relaxed cell (GGA-PBE, Alexandria).

Main lines, sorted by position (2θ from 10° to 80°):
Position (°2θ)  intensity  hkl
26.63  18.8  2 0 -2
28.76  12.6  4 0 0
33.67  100.0  3 1 0
36.56  49.6  1 1 -2
44.86  12.7  5 1 0
47.16  13.1  3 1 2
52.66  17.1  0 2 0
63.97  29.9  2 2 2

Atomic structure:
```
data_DyYCu
_space_group_name_H-M_alt 'C 1 2/m 1'
_space_group_IT_number 12
_space_group_name_Hall '-C 2y'
_cell_length_a 12.894
_cell_length_b 3.475
_cell_length_c 6.955
_cell_angle_alpha 90.00
_cell_angle_beta 105.65
_cell_angle_gamma 90.00
loop_
_atom_site_label
_atom_site_type_symbol
_atom_site_fract_x
_atom_site_fract_y
_atom_site_fract_z
_atom_site_occupancy
Dy1 Dy 0.140 0.000 0.070 1
Y1 Y 0.138 0.000 0.569 1
Cu1 Cu 0.000 0.500 0.242 1
```

---

No. 6
Calculated XRD peak list of La2Nd5SmEr for CuKα, from a DFT-relaxed cell (GGA-PBE, Alexandria).

Main lines, sorted by position (2θ from 10° to 80°):
Position (°2θ)  intensity  hkl
27.94  36.3  2 1 3
28.92  54.1  2 2 0
29.66  100.0  2 0 4
37.53  12.0  3 2 1
38.45  13.9  2 0 6
42.83  11.8  4 0 2
51.72  29.6  4 2 4
53.09  12.3  2 2 8

Atomic structure:
```
data_La2Nd5SmEr
_space_group_name_H-M_alt 'I 4/m c m'
_space_group_IT_number 140
_space_group_name_Hall '-I 4 2c'
_cell_length_a 8.732
_cell_length_b 8.732
_cell_length_c 16.642
_cell_angle_alpha 90.00
_cell_angle_beta 90.00
_cell_angle_gamma 90.00
loop_
_atom_site_label
_atom_site_type_symbol
_atom_site_fract_x
_atom_site_fract_y
_atom_site_fract_z
_atom_site_occupancy
La1 La 0.121 0.379 0.000 1
Nd1 Nd 0.000 0.000 0.000 1
Nd2 Nd 0.220 0.280 0.356 1
Sm1 Sm 0.000 0.000 0.250 1
Er1 Er 0.000 0.500 0.250 1
```

---

No. 7
Calculated XRD peak list of DyY3Tl3 for CuKα, from a DFT-relaxed cell (GGA-PBE, Alexandria).

Main lines, sorted by position (2θ from 10° to 80°):
Position (°2θ)  intensity  hkl
10.85  15.0  1 0 0
28.97  24.5  2 1 0
33.73  100.0  2 1 1
34.19  24.9  0 0 2
45.41  14.5  2 1 2
51.35  14.9  1 4 0
60.89  25.0  2 1 3
63.14  16.8  1 4 2

Atomic structure:
```
data_DyY3Tl3
_space_group_name_H-M_alt 'P 63/m'
_space_group_IT_number 176
_space_group_name_Hall '-P 6c'
_cell_length_a 9.4155
_cell_length_b 9.4155
_cell_length_c 5.2458
_cell_angle_alpha 90.00
_cell_angle_beta 90.00
_cell_angle_gamma 120.00
loop_
_atom_site_label
_atom_site_type_symbol
_atom_site_fract_x
_atom_site_fract_y
_atom_site_fract_z
_atom_site_occupancy
Dy1 Dy 0.3333 0.6667 0.2500 1
Y1 Y 0.0015 0.2356 0.2500 1
Tl1 Tl 0.0716 0.4498 0.7500 1
```

---

No. 8
Calculated XRD peak list of Pm6PrY6 for CuKα, from a DFT-relaxed cell (GGA-PBE, Alexandria).

Main lines, sorted by position (2θ from 10° to 80°):
Position (°2θ)  intensity  hkl
26.24  78.7  1 1 0
27.85  36.0  1 0 3
30.39  36.3  2 0 0
30.60  100.0  1 1 2
34.27  69.9  2 0 2
34.83  33.9  1 0 4
54.01  36.9  2 2 0
55.17  38.0  1 1 6

Atomic structure:
```
data_Pm6PrY6
_space_group_name_H-M_alt 'P 6/m m m'
_space_group_IT_number 191
_space_group_name_Hall '-P 6 2'
_cell_length_a 6.7916
_cell_length_b 6.7916
_cell_length_c 11.4615
_cell_angle_alpha 90.00
_cell_angle_beta 90.00
_cell_angle_gamma 120.00
loop_
_atom_site_label
_atom_site_type_symbol
_atom_site_fract_x
_atom_site_fract_y
_atom_site_fract_z
_atom_site_occupancy
Pm1 Pm 0.0000 0.0000 0.1516 1
Pm2 Pm 0.3333 0.6667 0.0000 1
Pm3 Pm 0.3333 0.6667 0.5000 1
Pr1 Pr 0.0000 0.0000 0.5000 1
Y1 Y 0.0000 0.5000 0.2527 1
```

---

No. 9
Calculated XRD peak list of SmThTe4 for CuKα, from a DFT-relaxed cell (GGA-PBE, Alexandria).

Main lines, sorted by position (2θ from 10° to 80°):
Position (°2θ)  intensity  hkl
13.49  68.7  1 1 -1
27.66  100.0  3 1 -1
29.74  65.1  0 0 2
30.80  63.2  0 4 1
31.77  84.9  1 3 -2
34.46  61.4  3 3 -2
36.39  63.7  2 2 1
39.39  69.6  3 3 0

Atomic structure:
```
data_SmThTe4
_space_group_name_H-M_alt 'C 1 2/c 1'
_space_group_IT_number 15
_space_group_name_Hall '-C 2yc'
_cell_length_a 10.217
_cell_length_b 13.262
_cell_length_c 7.655
_cell_angle_alpha 90.00
_cell_angle_beta 128.28
_cell_angle_gamma 90.00
loop_
_atom_site_label
_atom_site_type_symbol
_atom_site_fract_x
_atom_site_fract_y
_atom_site_fract_z
_atom_site_occupancy
Sm1 Sm 0.000 0.007 0.250 1
Th1 Th 0.000 0.368 0.750 1
Te1 Te 0.139 0.182 0.108 1
Te2 Te 0.196 0.436 0.258 1
```

---

No. 10
Calculated XRD peak list of Sr2SmTcN4 for CuKα, from a DFT-relaxed cell (GGA-PBE, Alexandria).

Main lines, sorted by position (2θ from 10° to 80°):
Position (°2θ)  intensity  hkl
26.01  63.1  2 1 0
30.12  78.8  0 2 1
31.00  100.0  2 1 1
33.50  45.8  0 0 2
42.90  28.2  2 1 2
44.63  37.4  2 3 0
56.40  27.8  4 2 1
56.94  31.2  2 3 2

Atomic structure:
```
data_Sr2SmTcN4
_space_group_name_H-M_alt 'P m n 21'
_space_group_IT_number 31
_space_group_name_Hall 'P 2ac -2'
_cell_length_a 7.814
_cell_length_b 7.130
_cell_length_c 5.349
_cell_angle_alpha 90.00
_cell_angle_beta 90.00
_cell_angle_gamma 90.00
loop_
_atom_site_label
_atom_site_type_symbol
_atom_site_fract_x
_atom_site_fract_y
_atom_site_fract_z
_atom_site_occupancy
Sr1 Sr 0.247 0.158 0.000 1
Sm1 Sm 0.000 0.360 0.499 1
Tc1 Tc 0.000 0.659 0.057 1
N1 N 0.000 0.389 0.006 1
N2 N 0.000 0.663 0.410 1
N3 N 0.211 0.774 0.983 1
```

---

No. 11
Calculated XRD peak list of Be3In for CuKα, from a DFT-relaxed cell (GGA-PBE, Alexandria).

Main lines, sorted by position (2θ from 10° to 80°):
Position (°2θ)  intensity  hkl
13.46  79.7  0 2 0
25.27  64.6  0 2 1
31.88  47.8  1 3 0
33.29  100.0  1 1 1
34.71  46.7  0 4 1
42.32  29.2  1 5 0
54.79  24.6  1 3 2
62.22  31.0  2 4 1

Atomic structure:
```
data_Be3In
_space_group_name_H-M_alt 'C m c 21'
_space_group_IT_number 36
_space_group_name_Hall 'C 2c -2'
_cell_length_a 3.652
_cell_length_b 13.161
_cell_length_c 4.176
_cell_angle_alpha 90.00
_cell_angle_beta 90.00
_cell_angle_gamma 90.00
loop_
_atom_site_label
_atom_site_type_symbol
_atom_site_fract_x
_atom_site_fract_y
_atom_site_fract_z
_atom_site_occupancy
Be1 Be 0.000 0.004 0.000 1
Be2 Be 0.000 0.385 0.258 1
Be3 Be 0.000 0.457 0.755 1
In1 In 0.000 0.188 0.265 1
```

---

No. 12
Calculated XRD peak list of Na2Ag2Sb2Pb for CuKα, from a DFT-relaxed cell (GGA-PBE, Alexandria).

Main lines, sorted by position (2θ from 10° to 80°):
Position (°2θ)  intensity  hkl
24.80  25.0  1 0 4
26.73  56.3  0 1 5
31.35  47.4  1 0 7
33.95  66.7  0 1 8
36.71  100.0  1 1 0
38.09  22.8  1 1 3
55.47  26.8  1 1 12
64.22  26.9  1 1 15

Atomic structure:
```
data_Na2Ag2Sb2Pb
_space_group_name_H-M_alt 'R -3 m'
_space_group_IT_number 166
_space_group_name_Hall '-R 3 2"'
_cell_length_a 4.8962
_cell_length_b 4.8962
_cell_length_c 27.0013
_cell_angle_alpha 90.00
_cell_angle_beta 90.00
_cell_angle_gamma 120.00
loop_
_atom_site_label
_atom_site_type_symbol
_atom_site_fract_x
_atom_site_fract_y
_atom_site_fract_z
_atom_site_occupancy
Na1 Na 0.0000 0.0000 0.1330 1
Ag1 Ag 0.0000 0.0000 0.4019 1
Sb1 Sb 0.0000 0.0000 0.2562 1
Pb1 Pb 0.0000 0.0000 0.0000 1
```

---

No. 13
Calculated XRD peak list of SbSBr3 for CuKα, from a DFT-relaxed cell (GGA-PBE, Alexandria).

Main lines, sorted by position (2θ from 10° to 80°):
Position (°2θ)  intensity  hkl
13.36  100.0  0 0 1
14.14  36.0  1 0 0
14.33  42.3  1 0 -1
24.90  23.3  0 2 1
25.29  93.2  2 0 -1
28.89  23.8  2 0 -2
31.73  88.8  1 2 1
32.00  55.0  1 2 -2

Atomic structure:
```
data_SbSBr3
_space_group_name_H-M_alt 'P 1 21 1'
_space_group_IT_number 4
_space_group_name_Hall 'P 2yb'
_cell_length_a 7.049
_cell_length_b 8.496
_cell_length_c 7.457
_cell_angle_alpha 90.00
_cell_angle_beta 117.28
_cell_angle_gamma 90.00
loop_
_atom_site_label
_atom_site_type_symbol
_atom_site_fract_x
_atom_site_fract_y
_atom_site_fract_z
_atom_site_occupancy
Sb1 Sb 0.013 0.000 0.497 1
S1 S 0.253 0.481 0.368 1
Br1 Br 0.167 0.730 0.784 1
Br2 Br 0.174 0.295 0.799 1
Br3 Br 0.465 0.695 0.477 1
```